This entry pairs a crystal structure of ScTi3Ga3 with its theoretical powder diffraction line list. Radiation: a wavelength of 1.5418 Å. Structure: the GGA-PBE geometry in Alexandria.
Intensities are scaled so that the largest is 100.

Largest 10 diffraction maxima, in order of rising 2θ, 2θ from 10° to 90°:
d [Å]  I (rel.)
2.705  6
2.589  25
2.233  100
2.205  24
1.679  13
1.571  5
1.495  13
1.279  19
1.242  8
1.237  14

Atomic structure:
a = 7.9084 Å, b = 7.9084 Å, c = 4.4107 Å
α = 90.00°, β = 90.00°, γ = 120.00°
Space group P6_3/m (No. 176)
Symmetry-distinct sites (fractional):
Sc 0.3333 0.6667 0.2500
Ti 0.0008 0.2226 0.2500
Ga 0.0745 0.4543 0.7500